Calculated powder diffraction line list of Rb3PaF8 for Cu Ka, from a PBE-relaxed structure.
Peak positions follow from Bragg's law for the DFT cell and can differ from measured ones.

```
data_Rb3PaF8
_chemical_formula_sum 'Rb6 Pa2 F16'
_cell_length_a 6.254
_cell_length_b 6.254
_cell_length_c 12.364
_cell_angle_alpha 90.00
_cell_angle_beta 90.00
_cell_angle_gamma 90.00
_space_group_name_H-M_alt 'I 4/m m m'
_space_group_IT_number 139
_space_group_name_Hall '-I 4 2'
loop_
_atom_site_label
_atom_site_type_symbol
_atom_site_fract_x
_atom_site_fract_y
_atom_site_fract_z
Rb1 Rb 0.000 0.000 0.000
Rb2 Rb 0.000 0.500 0.250
Pa1 Pa 0.000 0.000 0.500
F1 F 0.206 0.206 0.396
```

Principal peaks in the range 2θ = 10–80°, in order of rising 2θ:
h k l  2θ (°)  Rel. int.
1 0 1  15.88  34.7
1 1 2  24.75  100.0
2 0 0  28.55  17.4
2 2 0  40.81  19.8
2 0 4  41.06  39.3
3 1 2  48.32  31.3
1 1 6  48.75  15.2
3 1 6  65.41  14.1

Calculated powder diffraction line list of Pa2S3F for Cu Ka, from a PBE-relaxed structure.
Peak positions follow from Bragg's law for the DFT cell and can differ from measured ones.

```
data_Pa2S3F
_chemical_formula_sum 'Pa12 S18 F6'
_cell_length_a 7.3501
_cell_length_b 7.3501
_cell_length_c 16.7794
_cell_angle_alpha 90.00
_cell_angle_beta 90.00
_cell_angle_gamma 120.00
_space_group_name_H-M_alt 'R -3 c'
_space_group_IT_number 167
_space_group_name_Hall '-R 3 2"c'
loop_
_atom_site_label
_atom_site_type_symbol
_atom_site_fract_x
_atom_site_fract_y
_atom_site_fract_z
Pa1 Pa 0.0000 0.0000 0.1361
S1 S 0.0000 0.2801 0.2500
F1 F 0.0000 0.0000 0.0000
```

Principal peaks in the range 2θ = 10–80°, in order of rising 2θ:
h k l  2θ (°)  Rel. int.
1 1 0  24.22  100.0
1 0 4  25.43  74.7
0 2 4  35.40  41.3
1 1 6  40.54  17.6
3 0 0  42.61  36.7
2 1 4  43.36  45.8
0 1 8  45.54  18.8
1 3 4  56.56  16.9

Calculated powder diffraction line list of Pa3S3F4 for Cu Ka, from a PBE-relaxed structure.
Peak positions follow from Bragg's law for the DFT cell and can differ from measured ones.

```
data_Pa3S3F4
_chemical_formula_sum 'Pa12 S12 F16'
_cell_length_a 9.102
_cell_length_b 9.102
_cell_length_c 9.102
_cell_angle_alpha 90.00
_cell_angle_beta 90.00
_cell_angle_gamma 90.00
_space_group_name_H-M_alt 'I -4 3 d'
_space_group_IT_number 220
_space_group_name_Hall 'I -4bd 2c 3'
loop_
_atom_site_label
_atom_site_type_symbol
_atom_site_fract_x
_atom_site_fract_y
_atom_site_fract_z
Pa1 Pa 0.000 0.250 0.875
S1 S 0.000 0.250 0.375
F1 F 0.074 0.074 0.074
```

Principal peaks in the range 2θ = 10–80°, in order of rising 2θ:
h k l  2θ (°)  Rel. int.
2 1 1  23.95  100.0
3 1 0  31.07  20.4
3 2 1  36.95  38.9
4 2 0  44.52  38.2
3 3 2  46.82  19.0
5 1 0  51.18  25.4
6 1 1  62.95  20.2
5 5 2  76.99  17.6

Calculated powder diffraction line list of Pa3S3F2 for Cu Ka, from a PBE-relaxed structure.
Peak positions follow from Bragg's law for the DFT cell and can differ from measured ones.

```
data_Pa3S3F2
_chemical_formula_sum 'Pa6 S6 F4'
_cell_length_a 8.0964
_cell_length_b 8.0964
_cell_length_c 5.4160
_cell_angle_alpha 90.00
_cell_angle_beta 90.00
_cell_angle_gamma 120.00
_space_group_name_H-M_alt 'P 63/m c m'
_space_group_IT_number 193
_space_group_name_Hall '-P 6c 2'
loop_
_atom_site_label
_atom_site_type_symbol
_atom_site_fract_x
_atom_site_fract_y
_atom_site_fract_z
Pa1 Pa 0.0000 0.3521 0.2500
S1 S 0.0000 0.3094 0.7500
F1 F 0.3333 0.6667 0.0000
```

Principal peaks in the range 2θ = 10–80°, in order of rising 2θ:
h k l  2θ (°)  Rel. int.
1 1 0  21.96  42.6
1 1 1  27.51  100.0
0 0 2  33.08  23.6
3 0 0  38.52  52.8
1 1 2  40.06  27.5
2 2 1  47.98  22.3
3 0 2  51.66  37.5
4 1 1  63.14  18.7